Ho12Rh6Pb: theoretical powder X-ray diffraction pattern (CuKα), based on the GGA-PBE geometry in Alexandria.

The 8 most intense peaks (10 to 90 degrees two-theta), sorted by position:
2θ/deg  intensity
28.6  19
31.4  35
34.0  100
36.4  17
47.0  24
54.2  23
57.6  32
67.1  18

Atomic structure:
```
data_Ho12Rh6Pb
_cell_length_a 8.541
_cell_length_b 8.541
_cell_length_c 8.541
_cell_angle_alpha 109.47
_cell_angle_beta 109.47
_cell_angle_gamma 109.47
_space_group_name_H-M_alt 'P 1'
_space_group_IT_number 1
loop_
_space_group_symop_operation_xyz
'x,y,z'
loop_
_atom_site_label
_atom_site_fract_x
_atom_site_fract_y
_atom_site_fract_z
Ho1 0.110 0.809 0.301
Ho2 0.191 0.301 0.492
Ho3 0.191 0.699 0.890
Ho4 0.301 0.110 0.809
Ho5 0.301 0.492 0.191
Ho6 0.492 0.191 0.301
Ho7 0.508 0.809 0.699
Ho8 0.699 0.508 0.809
Ho9 0.699 0.890 0.191
Ho10 0.809 0.301 0.110
Ho11 0.809 0.699 0.508
Ho12 0.890 0.191 0.699
Rh1 0.130 0.630 0.500
Rh2 0.370 0.500 0.870
Rh3 0.500 0.130 0.630
Rh4 0.500 0.870 0.370
Rh5 0.630 0.500 0.130
Rh6 0.870 0.370 0.500
Pb1 0.000 0.000 0.000
```



Ho2Rh3Pb3: theoretical powder X-ray diffraction pattern (CuKα), based on the GGA-PBE geometry in Alexandria.

The 8 most intense peaks (10 to 90 degrees two-theta), sorted by position:
2θ/deg  intensity
28.0  24
30.8  23
33.8  28
35.9  100
36.7  95
38.5  58
53.7  23
55.5  29

Atomic structure:
```
data_Ho2Rh3Pb3
_cell_length_a 8.096
_cell_length_b 8.096
_cell_length_c 6.367
_cell_angle_alpha 90.00
_cell_angle_beta 90.00
_cell_angle_gamma 120.00
_space_group_name_H-M_alt 'P 1'
_space_group_IT_number 1
loop_
_space_group_symop_operation_xyz
'x,y,z'
loop_
_atom_site_label
_atom_site_fract_x
_atom_site_fract_y
_atom_site_fract_z
Ho1 0.333 0.667 0.000
Ho2 0.333 0.667 0.500
Ho3 0.667 0.333 0.000
Ho4 0.667 0.333 0.500
Rh1 0.000 0.390 0.250
Rh2 0.000 0.610 0.750
Rh3 0.390 0.000 0.250
Rh4 0.390 0.390 0.750
Rh5 0.610 0.000 0.750
Rh6 0.610 0.610 0.250
Pb1 0.000 0.263 0.750
Pb2 0.000 0.737 0.250
Pb3 0.263 0.000 0.750
Pb4 0.263 0.263 0.250
Pb5 0.737 0.000 0.250
Pb6 0.737 0.737 0.750
```



TbHoRhPb: theoretical powder X-ray diffraction pattern (CuKα), based on the GGA-PBE geometry in Alexandria.

The 8 most intense peaks (10 to 90 degrees two-theta), sorted by position:
2θ/deg  intensity
27.9  16
34.1  100
36.5  49
50.4  11
52.5  17
59.4  13
63.9  8
64.1  33

Atomic structure:
```
data_TbHoRhPb
_cell_length_a 3.486
_cell_length_b 3.486
_cell_length_c 8.018
_cell_angle_alpha 90.00
_cell_angle_beta 90.00
_cell_angle_gamma 90.00
_space_group_name_H-M_alt 'P 1'
_space_group_IT_number 1
loop_
_space_group_symop_operation_xyz
'x,y,z'
loop_
_atom_site_label
_atom_site_fract_x
_atom_site_fract_y
_atom_site_fract_z
Tb1 0.000 0.000 0.000
Ho1 0.000 0.000 0.586
Rh1 0.500 0.500 0.789
Pb1 0.500 0.500 0.295
```



Ho5RuPb4: theoretical powder X-ray diffraction pattern (CuKα), based on the GGA-PBE geometry in Alexandria.

The 8 most intense peaks (10 to 90 degrees two-theta), sorted by position:
2θ/deg  intensity
29.1  100
31.3  30
36.5  27
41.6  58
51.6  14
60.0  19
63.3  11
68.4  16

Atomic structure:
```
data_Ho5RuPb4
_cell_length_a 7.512
_cell_length_b 7.512
_cell_length_c 7.512
_cell_angle_alpha 99.62
_cell_angle_beta 99.62
_cell_angle_gamma 131.74
_space_group_name_H-M_alt 'P 1'
_space_group_IT_number 1
loop_
_space_group_symop_operation_xyz
'x,y,z'
loop_
_atom_site_label
_atom_site_fract_x
_atom_site_fract_y
_atom_site_fract_z
Ho1 0.000 0.000 0.000
Ho2 0.346 0.703 0.866
Ho3 0.480 0.346 0.643
Ho4 0.703 0.837 0.357
Ho5 0.837 0.480 0.134
Ru1 0.518 0.518 0.000
Pb1 0.026 0.765 0.605
Pb2 0.159 0.421 0.395
Pb3 0.421 0.026 0.262
Pb4 0.765 0.159 0.738
```



Ho5RuPb2: theoretical powder X-ray diffraction pattern (CuKα), based on the GGA-PBE geometry in Alexandria.

The 8 most intense peaks (10 to 90 degrees two-theta), sorted by position:
2θ/deg  intensity
32.3  100
35.4  49
41.3  12
51.0  18
55.5  20
61.6  32
67.6  11
69.7  13

Atomic structure:
```
data_Ho5RuPb2
_cell_length_a 6.693
_cell_length_b 6.693
_cell_length_c 6.693
_cell_angle_alpha 115.24
_cell_angle_beta 115.24
_cell_angle_gamma 98.46
_space_group_name_H-M_alt 'P 1'
_space_group_IT_number 1
loop_
_space_group_symop_operation_xyz
'x,y,z'
loop_
_atom_site_label
_atom_site_fract_x
_atom_site_fract_y
_atom_site_fract_z
Ho1 0.000 0.000 0.000
Ho2 0.027 0.027 0.510
Ho3 0.027 0.518 0.000
Ho4 0.518 0.027 0.000
Ho5 0.518 0.518 0.490
Ru1 0.677 0.677 0.000
Pb1 0.026 0.526 0.500
Pb2 0.526 0.026 0.500
```



Ho5RuPb: theoretical powder X-ray diffraction pattern (CuKα), based on the GGA-PBE geometry in Alexandria.

The 8 most intense peaks (10 to 90 degrees two-theta), sorted by position:
2θ/deg  intensity
27.7  34
30.8  100
31.2  77
31.8  47
32.3  87
32.7  33
33.6  50
36.2  29

Atomic structure:
```
data_Ho5RuPb
_cell_length_a 6.418
_cell_length_b 6.418
_cell_length_c 11.329
_cell_angle_alpha 105.71
_cell_angle_beta 105.71
_cell_angle_gamma 65.14
_space_group_name_H-M_alt 'P 1'
_space_group_IT_number 1
loop_
_space_group_symop_operation_xyz
'x,y,z'
loop_
_atom_site_label
_atom_site_fract_x
_atom_site_fract_y
_atom_site_fract_z
Ho1 0.028 0.972 0.750
Ho2 0.030 0.403 0.637
Ho3 0.209 0.543 0.955
Ho4 0.403 0.030 0.137
Ho5 0.457 0.791 0.545
Ho6 0.543 0.209 0.455
Ho7 0.597 0.970 0.863
Ho8 0.791 0.457 0.045
Ho9 0.970 0.597 0.363
Ho10 0.972 0.028 0.250
Ru1 0.000 0.000 0.000
Ru2 0.000 0.000 0.500
Pb1 0.464 0.536 0.250
Pb2 0.536 0.464 0.750
```



Ho12Ru5Pb: theoretical powder X-ray diffraction pattern (CuKα), based on the GGA-PBE geometry in Alexandria.

The 8 most intense peaks (10 to 90 degrees two-theta), sorted by position:
2θ/deg  intensity
32.1  100
34.0  65
34.6  77
35.3  69
35.7  29
38.8  32
53.4  29
60.5  29

Atomic structure:
```
data_Ho12Ru5Pb
_cell_length_a 8.384
_cell_length_b 8.384
_cell_length_c 8.384
_cell_angle_alpha 112.72
_cell_angle_beta 110.49
_cell_angle_gamma 105.29
_space_group_name_H-M_alt 'P 1'
_space_group_IT_number 1
loop_
_space_group_symop_operation_xyz
'x,y,z'
loop_
_atom_site_label
_atom_site_fract_x
_atom_site_fract_y
_atom_site_fract_z
Ho1 0.040 0.233 0.807
Ho2 0.175 0.269 0.444
Ho3 0.175 0.731 0.907
Ho4 0.327 0.013 0.686
Ho5 0.327 0.641 0.314
Ho6 0.426 0.233 0.193
Ho7 0.574 0.767 0.807
Ho8 0.673 0.359 0.686
Ho9 0.673 0.987 0.314
Ho10 0.825 0.269 0.093
Ho11 0.825 0.731 0.556
Ho12 0.960 0.767 0.193
Ru1 0.000 0.000 0.000
Ru2 0.123 0.623 0.500
Ru3 0.336 0.000 0.336
Ru4 0.664 0.000 0.664
Ru5 0.877 0.377 0.500
Pb1 0.500 0.500 0.000
```



Ho14Pb3S24: theoretical powder X-ray diffraction pattern (CuKα), based on the GGA-PBE geometry in Alexandria.

The 8 most intense peaks (10 to 90 degrees two-theta), sorted by position:
2θ/deg  intensity
25.9  61
26.0  100
26.1  34
33.7  87
34.0  52
40.2  48
48.4  33
48.7  27

Atomic structure:
```
data_Ho14Pb3S24
_cell_length_a 7.255
_cell_length_b 7.255
_cell_length_c 18.898
_cell_angle_alpha 104.87
_cell_angle_beta 104.87
_cell_angle_gamma 70.16
_space_group_name_H-M_alt 'P 1'
_space_group_IT_number 1
loop_
_space_group_symop_operation_xyz
'x,y,z'
loop_
_atom_site_label
_atom_site_fract_x
_atom_site_fract_y
_atom_site_fract_z
Ho1 0.007 0.007 0.132
Ho2 0.043 0.294 0.339
Ho3 0.206 0.710 0.307
Ho4 0.290 0.794 0.693
Ho5 0.313 0.328 0.537
Ho6 0.330 0.336 0.786
Ho7 0.537 0.045 0.964
Ho8 0.630 0.120 0.379
Ho9 0.664 0.670 0.214
Ho10 0.672 0.687 0.463
Ho11 0.706 0.957 0.661
Ho12 0.880 0.370 0.621
Ho13 0.955 0.463 0.036
Ho14 0.993 0.993 0.868
Pb1 0.374 0.626 0.000
Pb2 0.454 0.217 0.170
Pb3 0.783 0.546 0.830
S1 0.001 0.126 0.743
S2 0.006 0.642 0.744
S3 0.016 0.666 0.581
S4 0.037 0.412 0.212
S5 0.194 0.312 0.910
S6 0.199 0.084 0.035
S7 0.245 0.628 0.135
S8 0.263 0.124 0.632
S9 0.334 0.984 0.419
S10 0.337 0.459 0.416
S11 0.358 0.994 0.256
S12 0.372 0.755 0.865
S13 0.534 0.407 0.696
S14 0.541 0.663 0.584
S15 0.588 0.963 0.788
S16 0.593 0.466 0.304
S17 0.687 0.305 0.084
S18 0.688 0.806 0.090
S19 0.695 0.088 0.537
S20 0.695 0.313 0.916
S21 0.874 0.999 0.257
S22 0.876 0.737 0.368
S23 0.912 0.305 0.463
S24 0.916 0.801 0.965
```



Ho2Sn3Pb3S12: theoretical powder X-ray diffraction pattern (CuKα), based on the GGA-PBE geometry in Alexandria.

The 8 most intense peaks (10 to 90 degrees two-theta), sorted by position:
2θ/deg  intensity
26.1  46
26.4  65
27.3  100
27.4  61
32.5  86
32.7  39
38.2  41
46.2  63

Atomic structure:
```
data_Ho2Sn3Pb3S12
_cell_length_a 3.932
_cell_length_b 20.455
_cell_length_c 11.652
_cell_angle_alpha 90.00
_cell_angle_beta 90.00
_cell_angle_gamma 90.00
_space_group_name_H-M_alt 'P 1'
_space_group_IT_number 1
loop_
_space_group_symop_operation_xyz
'x,y,z'
loop_
_atom_site_label
_atom_site_fract_x
_atom_site_fract_y
_atom_site_fract_z
Ho1 0.000 0.089 0.000
Ho2 0.000 0.393 0.312
Ho3 0.000 0.607 0.812
Ho4 0.000 0.911 0.500
Sn1 0.500 0.070 0.651
Sn2 0.500 0.250 0.140
Sn3 0.500 0.410 0.620
Sn4 0.500 0.590 0.120
Sn5 0.500 0.750 0.640
Sn6 0.500 0.930 0.151
Pb1 0.000 0.122 0.373
Pb2 0.000 0.238 0.739
Pb3 0.000 0.417 0.930
Pb4 0.000 0.583 0.430
Pb5 0.000 0.762 0.239
Pb6 0.000 0.878 0.873
S1 0.000 0.002 0.703
S2 0.000 0.236 0.995
S3 0.000 0.257 0.292
S4 0.000 0.340 0.538
S5 0.000 0.482 0.703
S6 0.000 0.518 0.203
S7 0.000 0.660 0.038
S8 0.000 0.743 0.792
S9 0.000 0.764 0.495
S10 0.000 0.998 0.203
S11 0.500 0.008 0.460
S12 0.500 0.127 0.162
S13 0.500 0.136 0.839
S14 0.500 0.174 0.546
S15 0.500 0.341 0.802
S16 0.500 0.375 0.148
S17 0.500 0.467 0.424
S18 0.500 0.533 0.924
S19 0.500 0.625 0.648
S20 0.500 0.659 0.302
S21 0.500 0.826 0.046
S22 0.500 0.864 0.339
S23 0.500 0.873 0.662
S24 0.500 0.992 0.960
```



Tb4HoPbS8: theoretical powder X-ray diffraction pattern (CuKα), based on the GGA-PBE geometry in Alexandria.

The 8 most intense peaks (10 to 90 degrees two-theta), sorted by position:
2θ/deg  intensity
21.8  31
25.6  100
31.0  14
40.6  35
44.3  27
44.4  27
51.9  11
61.6  15

Atomic structure:
```
data_Tb4HoPbS8
_cell_length_a 8.153
_cell_length_b 8.153
_cell_length_c 8.153
_cell_angle_alpha 60.23
_cell_angle_beta 60.23
_cell_angle_gamma 60.23
_space_group_name_H-M_alt 'P 1'
_space_group_IT_number 1
loop_
_space_group_symop_operation_xyz
'x,y,z'
loop_
_atom_site_label
_atom_site_fract_x
_atom_site_fract_y
_atom_site_fract_z
Tb1 0.000 0.000 0.000
Tb2 0.377 0.377 0.869
Tb3 0.377 0.869 0.377
Tb4 0.869 0.377 0.377
Ho1 0.377 0.377 0.377
Pb1 0.751 0.751 0.751
S1 0.133 0.133 0.133
S2 0.134 0.134 0.601
S3 0.134 0.601 0.134
S4 0.166 0.610 0.610
S5 0.601 0.134 0.134
S6 0.610 0.166 0.610
S7 0.610 0.610 0.166
S8 0.612 0.612 0.612
```



Ho4SbTe2Pb: theoretical powder X-ray diffraction pattern (CuKα), based on the GGA-PBE geometry in Alexandria.

The 8 most intense peaks (10 to 90 degrees two-theta), sorted by position:
2θ/deg  intensity
28.8  100
41.2  76
51.0  21
51.2  7
59.7  13
67.6  18
67.7  17
75.1  20

Atomic structure:
```
data_Ho4SbTe2Pb
_cell_length_a 7.576
_cell_length_b 4.386
_cell_length_c 7.592
_cell_angle_alpha 90.00
_cell_angle_beta 109.47
_cell_angle_gamma 90.00
_space_group_name_H-M_alt 'P 1'
_space_group_IT_number 1
loop_
_space_group_symop_operation_xyz
'x,y,z'
loop_
_atom_site_label
_atom_site_fract_x
_atom_site_fract_y
_atom_site_fract_z
Ho1 0.239 0.000 0.245
Ho2 0.239 0.500 0.747
Ho3 0.761 0.000 0.755
Ho4 0.761 0.500 0.253
Sb1 0.000 0.000 0.500
Te1 0.500 0.000 0.000
Te2 0.500 0.500 0.500
Pb1 0.000 0.500 0.000
```